The following is a calculated powder XRD pattern of MgCoSeO. It was derived from a structure optimized by DFT (PBE+U), using Cu Kα, 1.54184 Å.
Peak positions follow from Bragg's law for the DFT cell and can differ from measured ones.

abc: 6.079 7.593 5.709
angles: 90.00 90.00 90.00
Space group Pca2_1 (No. 29)
Asymmetric unit:
Mg 0.123 0.073 0.000 x4
Co 0.038 0.665 0.099 x4
Se 0.061 0.647 0.669 x4
O 0.085 0.093 0.655 x4

Most intense lines, 2θ from 10° to 90°, sorted by position:
2theta, I (rel.), h k l
11.65, 84.5, 0 1 0
27.70, 56.2, 1 2 0
29.39, 86.8, 2 0 0
31.34, 100.0, 0 0 2
31.91, 38.3, 1 2 1
33.54, 36.1, 0 1 2
35.47, 74.3, 0 3 0
43.49, 46.0, 2 0 2
48.04, 41.3, 0 3 2
51.10, 43.0, 3 2 0